(1)
Simulated powder diffraction line list
Compound: V3Zn2GaO11
Radiation: CuKα
Structure: DFT lattice parameters and positions (PBE+U)
Peak positions follow from Bragg's law for the DFT cell and can differ from measured ones.

Atomic structure:
Cell lengths 6.5693, 6.9319, 10.0194 Å; angles 97.76, 102.02, 101.32 degrees
Atoms (fractional coordinates):
V 0.1731 0.4860 0.2895
V 0.1974 0.0744 0.6162
V 0.2548 0.1769 0.9755
V 0.7452 0.8231 0.0245
V 0.8026 0.9256 0.3838
V 0.8269 0.5140 0.7105
Zn 0.2831 0.0041 0.2789
Zn 0.3255 0.6236 0.6646
Zn 0.6745 0.3764 0.3354
Zn 0.7169 0.9959 0.7211
Ga 0.1898 0.6754 0.0043
Ga 0.8102 0.3246 0.9957
O 0.1090 0.6278 0.7888
O 0.1136 0.0059 0.4220
O 0.1239 0.3771 0.0132
O 0.1490 0.0753 0.8049
O 0.1946 0.5704 0.4573
O 0.2159 0.9693 0.0605
O 0.2430 0.6997 0.2138
O 0.3095 0.3174 0.6428
O 0.3452 0.3178 0.2786
O 0.3927 0.9356 0.6506
O 0.4814 0.7136 0.9970
O 0.5186 0.2864 0.0030
O 0.6073 0.0644 0.3494
O 0.6548 0.6822 0.7214
O 0.6905 0.6826 0.3572
O 0.7570 0.3003 0.7862
O 0.7841 0.0307 0.9395
O 0.8054 0.4296 0.5427
O 0.8510 0.9247 0.1951
O 0.8761 0.6229 0.9868
O 0.8864 0.9941 0.5780
O 0.8910 0.3722 0.2112

Principal peaks in the range 5° ≤ 2θ ≤ 70°, most intense first:
d/Å  intensity
3.125  100
3.211  97
3.351  78
3.279  55
1.726  40
3.116  34
3.186  27
1.981  21
1.564  21
2.536  20


(2)
Simulated powder diffraction line list
Compound: GaW12O40
Radiation: CuKα
Structure: DFT lattice parameters and positions (PBE+U)
Peak positions follow from Bragg's law for the DFT cell and can differ from measured ones.

Atomic structure:
Cell lengths 15.8032, 15.8032, 15.8032 Å; angles 109.47, 109.47, 109.47 degrees
Atoms (fractional coordinates):
Ga 0.0000 0.0000 0.0000
W 0.0000 0.1471 0.8667
W 0.0000 0.8667 0.1471
W 0.1333 0.1333 0.2804
W 0.1333 0.2804 0.1333
W 0.1471 0.0000 0.8667
W 0.1471 0.8667 0.0000
W 0.2804 0.1333 0.1333
W 0.7196 0.8529 0.8529
W 0.8529 0.7196 0.8529
W 0.8529 0.8529 0.7196
W 0.8667 0.0000 0.1471
W 0.8667 0.1471 0.0000
O 0.0000 0.0000 0.1157
O 0.0000 0.1080 0.2741
O 0.0000 0.1157 0.0000
O 0.0000 0.1989 0.7858
O 0.0000 0.2741 0.1080
O 0.0000 0.7718 0.8981
O 0.0000 0.7858 0.1989
O 0.0000 0.8981 0.7718
O 0.1019 0.1019 0.8737
O 0.1019 0.8737 0.1019
O 0.1080 0.0000 0.2741
O 0.1080 0.2741 0.0000
O 0.1157 0.0000 0.0000
O 0.1263 0.2282 0.2282
O 0.1661 0.8920 0.8920
O 0.1989 0.0000 0.7858
O 0.1989 0.7858 0.0000
O 0.2142 0.2142 0.4131
O 0.2142 0.4131 0.2142
O 0.2282 0.1263 0.2282
O 0.2282 0.2282 0.1263
O 0.2741 0.0000 0.1080
O 0.2741 0.1080 0.0000
O 0.4131 0.2142 0.2142
O 0.5869 0.8011 0.8011
O 0.7259 0.7259 0.8339
O 0.7259 0.8339 0.7259
O 0.7718 0.0000 0.8981
O 0.7718 0.8981 0.0000
O 0.7858 0.0000 0.1989
O 0.7858 0.1989 0.0000
O 0.8011 0.5869 0.8011
O 0.8011 0.8011 0.5869
O 0.8339 0.7259 0.7259
O 0.8737 0.1019 0.1019
O 0.8843 0.8843 0.8843
O 0.8920 0.1661 0.8920
O 0.8920 0.8920 0.1661
O 0.8981 0.0000 0.7718
O 0.8981 0.7718 0.0000

Principal peaks in the range 5° ≤ 2θ ≤ 70°, most intense first:
d/Å  intensity
12.903  100
3.130  11
2.581  7
3.890  5
5.771  5
3.041  4
4.301  4
9.124  3
1.510  3
2.960  3


(3)
Simulated powder diffraction line list
Compound: GaW12O40
Radiation: CuKα
Structure: DFT lattice parameters and positions (PBE+U)
Peak positions follow from Bragg's law for the DFT cell and can differ from measured ones.

Atomic structure:
Cell lengths 15.5405, 15.5405, 15.4820 Å; angles 109.47, 109.47, 109.46 degrees
Atoms (fractional coordinates):
Ga 0.0000 0.0000 0.0000
W 0.0011 0.8510 0.1367
W 0.1339 0.8483 0.9992
W 0.1342 0.9990 0.8499
W 0.1452 0.2840 0.1504
W 0.1505 0.1505 0.2885
W 0.2840 0.1452 0.1504
W 0.7142 0.8632 0.8642
W 0.8483 0.1339 0.9992
W 0.8510 0.0011 0.1367
W 0.8632 0.7142 0.8642
W 0.8643 0.8643 0.7147
W 0.9990 0.1342 0.8499
O 0.0004 0.1035 0.2343
O 0.9995 0.8000 0.2208
O 0.0024 0.8844 0.0024
O 0.1006 0.2302 0.0007
O 0.1035 0.0004 0.2343
O 0.1082 0.1082 0.8305
O 0.1080 0.8282 0.1090
O 0.1177 0.1177 0.1170
O 0.1265 0.8962 0.8972
O 0.1677 0.2778 0.2803
O 0.1993 0.4192 0.2004
O 0.2004 0.2004 0.4237
O 0.2155 0.7948 0.9948
O 0.2191 0.9987 0.8001
O 0.2302 0.1006 0.0007
O 0.2338 0.9974 0.1052
O 0.2732 0.2732 0.1687
O 0.2778 0.1677 0.2803
O 0.4192 0.1993 0.2004
O 0.5798 0.7771 0.7792
O 0.7201 0.9979 0.8902
O 0.7226 0.8900 0.0008
O 0.7681 0.8710 0.7683
O 0.7688 0.7688 0.8724
O 0.7771 0.5798 0.7792
O 0.7792 0.7792 0.5794
O 0.7948 0.2155 0.9948
O 0.8000 0.9995 0.2208
O 0.8282 0.1080 0.1090
O 0.8710 0.7681 0.7683
O 0.8844 0.0024 0.0024
O 0.8900 0.7226 0.0008
O 0.8896 0.9993 0.7203
O 0.8962 0.1265 0.8972
O 0.8983 0.8983 0.1277
O 0.9974 0.2338 0.1052
O 0.9973 0.9973 0.8807
O 0.9979 0.7201 0.8902
O 0.9987 0.2191 0.8001
O 0.9993 0.8896 0.7203

Principal peaks in the range 5° ≤ 2θ ≤ 70°, most intense first:
d/Å  intensity
12.674  100
3.076  8
5.668  6
3.822  5
2.536  5
2.988  4
4.225  3
8.962  3
3.066  3
4.008  3


(4)
Simulated powder diffraction line list
Compound: GdMnGe2O7
Radiation: CuKα
Structure: DFT lattice parameters and positions (PBE+U)
Peak positions follow from Bragg's law for the DFT cell and can differ from measured ones.

Atomic structure:
Cell lengths 7.9109, 7.9109, 4.8134 Å; angles 90.00, 90.00, 119.47 degrees
Atoms (fractional coordinates):
Gd 0.0000 0.0000 0.0000
Gd 0.5000 0.5000 0.0000
Mn 0.2502 0.7498 0.0000
Mn 0.7498 0.2502 0.0000
Ge 0.1138 0.3867 0.4801
Ge 0.3867 0.1138 0.5199
Ge 0.6133 0.8862 0.5199
Ge 0.8862 0.6133 0.4801
O 0.0000 0.5000 0.6855
O 0.0668 0.7771 0.2416
O 0.2035 0.2964 0.7396
O 0.2229 0.9332 0.7584
O 0.2788 0.5679 0.2430
O 0.2964 0.2035 0.2604
O 0.4321 0.7212 0.7570
O 0.5000 0.0000 0.3145
O 0.5679 0.2788 0.7570
O 0.7036 0.7965 0.2604
O 0.7212 0.4321 0.2430
O 0.7771 0.0668 0.7584
O 0.7965 0.7036 0.7396
O 0.9332 0.2229 0.2416

Principal peaks in the range 5° ≤ 2θ ≤ 70°, most intense first:
d/Å  intensity
3.071  100
2.786  66
1.764  46
2.594  39
1.621  26
3.935  21
1.493  19
1.994  16
2.407  11
6.832  11


(5)
Simulated powder diffraction line list
Compound: Gd3VGeO9
Radiation: CuKα
Structure: DFT lattice parameters and positions (PBE+U)
Peak positions follow from Bragg's law for the DFT cell and can differ from measured ones.

Atomic structure:
Cell lengths 6.9783, 12.3676, 9.7752 Å; angles 90.00, 115.09, 90.00 degrees
Atoms (fractional coordinates):
Gd 0.0503 0.1308 0.3772
Gd 0.0503 0.3692 0.8772
Gd 0.3719 0.6061 0.8757
Gd 0.3719 0.8939 0.3757
Gd 0.3951 0.1350 0.1551
Gd 0.3951 0.3650 0.6551
Gd 0.6049 0.6350 0.3449
Gd 0.6049 0.8650 0.8449
Gd 0.6281 0.1061 0.6243
Gd 0.6281 0.3939 0.1243
Gd 0.9497 0.6308 0.1228
Gd 0.9497 0.8692 0.6228
V 0.2171 0.6629 0.5204
V 0.2171 0.8371 0.0204
V 0.7829 0.1629 0.9796
V 0.7829 0.3371 0.4796
Ge 0.1911 0.1014 0.7411
Ge 0.1911 0.3986 0.2411
Ge 0.8089 0.6014 0.7589
Ge 0.8089 0.8986 0.2589
O 0.0320 0.1581 0.1328
O 0.0320 0.3419 0.6328
O 0.0694 0.5754 0.9099
O 0.0694 0.9246 0.4099
O 0.1757 0.1738 0.8898
O 0.1757 0.3262 0.3898
O 0.2402 0.7464 0.1645
O 0.2402 0.7536 0.6645
O 0.2806 0.5340 0.2758
O 0.2806 0.9660 0.7758
O 0.2906 0.5432 0.6222
O 0.2906 0.9568 0.1222
O 0.3136 0.1707 0.6362
O 0.3136 0.3293 0.1362
O 0.3822 0.0794 0.3840
O 0.3822 0.4206 0.8840
O 0.3993 0.7126 0.4607
O 0.3993 0.7874 0.9607
O 0.6007 0.2126 0.0393
O 0.6007 0.2874 0.5393
O 0.6178 0.5794 0.1160
O 0.6178 0.9206 0.6160
O 0.6864 0.6707 0.8638
O 0.6864 0.8293 0.3638
O 0.7094 0.0432 0.8778
O 0.7094 0.4568 0.3778
O 0.7194 0.0340 0.2242
O 0.7194 0.4660 0.7242
O 0.7598 0.2464 0.3355
O 0.7598 0.2536 0.8355
O 0.8243 0.6738 0.6102
O 0.8243 0.8262 0.1102
O 0.9306 0.0754 0.5901
O 0.9306 0.4246 0.0901
O 0.9680 0.6581 0.3672
O 0.9680 0.8419 0.8672

Principal peaks in the range 5° ≤ 2θ ≤ 70°, most intense first:
d/Å  intensity
3.032  100
3.092  89
2.976  68
2.880  48
3.148  47
3.350  42
4.373  29
2.460  27
7.199  26
2.010  24